[1]
Theoretical powder XRD pattern of Na7Ni10O20 for Cu Kα, 1.54184 Å, from a PBE+U-relaxed structure.
No peak broadening, texture or thermal motion is included.

Largest 10 diffraction maxima, low angle first, 2θ = 10–90°:
two_theta  intensity
16.29  100.0
32.91  15.5
35.39  9.0
36.86  15.4
37.70  7.6
41.36  28.8
42.91  22.4
43.13  24.3
57.89  7.3
63.29  7.3

Cell lengths 2.941, 10.995, 12.700 Å; angles 107.37, 91.45, 91.46 degrees
Element x y z (fractional)
Na 0.000 0.000 0.000
Na 0.013 0.411 0.828
Na 0.486 0.290 0.577
Na 0.498 0.119 0.232
Na 0.502 0.881 0.768
Na 0.514 0.710 0.423
Na 0.987 0.589 0.172
Ni 0.000 0.500 0.500
Ni 0.004 0.898 0.301
Ni 0.008 0.703 0.900
Ni 0.492 0.406 0.298
Ni 0.499 0.193 0.901
Ni 0.500 0.000 0.500
Ni 0.501 0.807 0.099
Ni 0.508 0.594 0.702
Ni 0.992 0.297 0.100
Ni 0.996 0.102 0.699
O 0.013 0.281 0.243
O 0.027 0.466 0.644
O 0.029 0.068 0.837
O 0.031 0.687 0.041
O 0.034 0.874 0.441
O 0.479 0.985 0.643
O 0.482 0.422 0.155
O 0.487 0.776 0.244
O 0.493 0.387 0.441
O 0.497 0.831 0.952
O 0.503 0.169 0.048
O 0.507 0.613 0.559
O 0.513 0.224 0.756
O 0.518 0.578 0.845
O 0.521 0.015 0.357
O 0.966 0.126 0.559
O 0.969 0.313 0.959
O 0.971 0.932 0.163
O 0.973 0.534 0.356
O 0.987 0.719 0.757

[2]
Theoretical powder XRD pattern of Li2Cr2FeSbO8 for Cu Kα, 1.54184 Å, from a PBE+U-relaxed structure.
No peak broadening, texture or thermal motion is included.

Largest 10 diffraction maxima, low angle first, 2θ = 10–90°:
two_theta  intensity
19.43  100.0
25.21  30.9
32.76  36.1
35.26  32.7
35.32  17.4
35.84  19.6
44.92  23.5
54.90  13.0
59.75  21.8
61.94  15.9

Cell lengths 5.992, 5.992, 9.651 Å; angles 90.15, 90.15, 59.85 degrees
Element x y z (fractional)
Li 0.000 0.000 0.000
Li 0.000 0.000 0.499
Li 0.333 0.333 0.907
Li 0.666 0.666 0.410
Cr 0.172 0.172 0.222
Cr 0.340 0.830 0.722
Cr 0.830 0.340 0.722
Cr 0.830 0.830 0.722
Fe 0.171 0.660 0.222
Fe 0.660 0.171 0.222
Sb 0.333 0.333 0.497
Sb 0.667 0.667 0.995
O 0.000 0.000 0.311
O 0.000 0.000 0.814
O 0.038 0.478 0.354
O 0.164 0.669 0.604
O 0.165 0.165 0.605
O 0.334 0.834 0.104
O 0.335 0.335 0.114
O 0.478 0.038 0.354
O 0.481 0.481 0.357
O 0.518 0.962 0.851
O 0.519 0.519 0.852
O 0.666 0.666 0.617
O 0.669 0.164 0.604
O 0.832 0.832 0.103
O 0.834 0.334 0.104
O 0.962 0.518 0.851

[3]
Theoretical powder XRD pattern of Sr2Al4Fe3P4H4O26 for Cu Kα, 1.54184 Å, from a PBE+U-relaxed structure.
No peak broadening, texture or thermal motion is included.

Largest 10 diffraction maxima, low angle first, 2θ = 10–90°:
two_theta  intensity
19.49  93.3
25.05  55.9
27.30  100.0
28.66  92.4
29.45  53.8
30.41  44.7
31.69  74.8
33.17  76.0
33.77  47.8
34.12  53.6

Cell lengths 5.374, 9.267, 9.879 Å; angles 110.01, 91.24, 97.92 degrees
Element x y z (fractional)
Sr 0.124 0.264 0.411
Sr 0.876 0.736 0.589
Al 0.488 0.928 0.841
Al 0.500 0.000 0.500
Al 0.500 0.500 0.000
Al 0.512 0.072 0.159
Fe 0.000 0.000 0.000
Fe 0.240 0.632 0.282
Fe 0.760 0.368 0.718
P 0.223 0.178 0.762
P 0.306 0.572 0.730
P 0.694 0.428 0.270
P 0.777 0.822 0.238
H 0.052 0.408 0.039
H 0.239 0.933 0.277
H 0.761 0.067 0.723
H 0.948 0.592 0.961
O 0.019 0.752 0.198
O 0.047 0.483 0.647
O 0.213 0.039 0.821
O 0.216 0.460 0.090
O 0.222 0.159 0.136
O 0.242 0.116 0.597
O 0.282 0.809 0.455
O 0.305 0.910 0.006
O 0.310 0.581 0.887
O 0.319 0.737 0.718
O 0.370 0.025 0.321
O 0.461 0.301 0.834
O 0.484 0.512 0.354
O 0.516 0.488 0.646
O 0.539 0.699 0.166
O 0.630 0.975 0.679
O 0.681 0.263 0.282
O 0.690 0.419 0.113
O 0.695 0.090 0.994
O 0.718 0.191 0.545
O 0.758 0.884 0.403
O 0.778 0.841 0.864
O 0.784 0.540 0.910
O 0.787 0.961 0.179
O 0.953 0.517 0.353
O 0.981 0.248 0.802

[4]
Theoretical powder XRD pattern of K2Cr2AsHO10 for Cu Kα, 1.54184 Å, from a PBE+U-relaxed structure.
No peak broadening, texture or thermal motion is included.

Largest 10 diffraction maxima, low angle first, 2θ = 10–90°:
two_theta  intensity
17.64  57.9
22.21  44.2
22.44  48.5
25.51  41.5
25.97  100.0
26.67  31.4
27.41  99.5
33.15  30.6
35.71  35.4
42.59  56.0

Cell lengths 7.923, 7.923, 14.782 Å; angles 90.00, 90.00, 120.00 degrees
Element x y z (fractional)
K 0.000 0.553 0.333
K 0.000 0.616 0.833
K 0.384 0.384 0.500
K 0.447 0.447 0.000
K 0.553 0.000 0.667
K 0.616 0.000 0.167
Cr 0.008 0.582 0.079
Cr 0.418 0.426 0.746
Cr 0.426 0.418 0.254
Cr 0.574 0.992 0.412
Cr 0.582 0.008 0.921
Cr 0.992 0.574 0.588
As 0.000 0.121 0.833
As 0.121 0.000 0.167
As 0.879 0.879 0.500
H 0.000 0.952 0.333
H 0.048 0.048 0.000
H 0.952 0.000 0.667
O 0.033 0.073 0.080
O 0.040 0.967 0.413
O 0.073 0.033 0.920
O 0.103 0.513 0.514
O 0.146 0.539 0.013
O 0.148 0.755 0.649
O 0.170 0.813 0.140
O 0.187 0.357 0.807
O 0.245 0.393 0.316
O 0.357 0.187 0.193
O 0.393 0.245 0.684
O 0.393 0.854 0.346
O 0.410 0.897 0.847
O 0.461 0.607 0.679
O 0.487 0.590 0.180
O 0.513 0.103 0.486
O 0.539 0.146 0.987
O 0.590 0.487 0.820
O 0.607 0.461 0.321
O 0.607 0.852 0.982
O 0.643 0.830 0.473
O 0.755 0.148 0.351
O 0.813 0.170 0.860
O 0.830 0.643 0.527
O 0.852 0.607 0.018
O 0.854 0.393 0.654
O 0.897 0.410 0.153
O 0.927 0.960 0.746
O 0.960 0.927 0.254
O 0.967 0.040 0.587

[5]
Theoretical powder XRD pattern of Li4FeOF5 for Cu Kα, 1.54184 Å, from a PBE+U-relaxed structure.
No peak broadening, texture or thermal motion is included.

Largest 10 diffraction maxima, low angle first, 2θ = 10–90°:
two_theta  intensity
18.56  32.1
20.00  54.9
20.81  97.9
23.20  64.6
27.42  38.8
32.18  21.3
42.52  56.0
43.47  100.0
61.96  24.7
62.88  37.6

Cell lengths 5.146, 5.146, 9.690 Å; angles 94.68, 94.68, 119.17 degrees
Element x y z (fractional)
Li 0.069 0.931 0.500
Li 0.229 0.740 0.017
Li 0.385 0.539 0.510
Li 0.539 0.385 0.010
Li 0.673 0.829 0.267
Li 0.740 0.229 0.517
Li 0.829 0.673 0.767
Li 0.931 0.069 0.000
Fe 0.451 0.984 0.772
Fe 0.984 0.451 0.272
O 0.005 0.206 0.392
O 0.206 0.005 0.892
F 0.109 0.652 0.635
F 0.262 0.458 0.129
F 0.343 0.821 0.380
F 0.458 0.262 0.629
F 0.553 0.723 0.888
F 0.652 0.109 0.135
F 0.711 0.906 0.637
F 0.723 0.553 0.388
F 0.821 0.343 0.880
F 0.906 0.711 0.137